Entry 1:
For Zr2Ni2Sn, a DFT-relaxed cell (PBE, Alexandria) gives the simulated X-ray diffraction stick pattern in this record (Cu Kα).
Peak positions follow from Bragg's law for the DFT cell and can differ from measured ones.

Top 6 peaks for 10 to 90 degrees two-theta, in order of falling intensity:
| d/Å | I_rel |
| --- | --- |
| 2.334 | 100 |
| 2.254 | 71 |
| 2.471 | 57 |
| 1.364 | 24 |
| 2.835 | 21 |
| 1.714 | 20 |

Structural model:
```
Zr2Ni2Sn
1.0
7.129 0.000 0.000
0.000 7.129 0.000
0.000 0.000 6.856
Zr Ni Sn
8 8 4
Direct
0.155 0.155 0.000 Zr
0.182 0.182 0.500 Zr
0.318 0.682 0.000 Zr
0.345 0.655 0.500 Zr
0.655 0.345 0.500 Zr
0.682 0.318 0.000 Zr
0.818 0.818 0.500 Zr
0.845 0.845 0.000 Zr
0.126 0.874 0.283 Ni
0.126 0.874 0.717 Ni
0.374 0.374 0.217 Ni
0.374 0.374 0.783 Ni
0.626 0.626 0.217 Ni
0.626 0.626 0.783 Ni
0.874 0.126 0.283 Ni
0.874 0.126 0.717 Ni
0.000 0.500 0.250 Sn
0.000 0.500 0.750 Sn
0.500 0.000 0.250 Sn
0.500 0.000 0.750 Sn
```

Entry 2:
For Sr6Ni, a DFT-relaxed cell (PBE, Alexandria) gives the simulated X-ray diffraction stick pattern in this record (Cu Kα).
Peak positions follow from Bragg's law for the DFT cell and can differ from measured ones.

Top 6 peaks for 10 to 90 degrees two-theta, in order of falling intensity:
| d/Å | I_rel |
| --- | --- |
| 3.270 | 100 |
| 2.899 | 34 |
| 3.576 | 29 |
| 3.501 | 27 |
| 1.823 | 25 |
| 1.974 | 24 |

Structural model:
```
Sr6Ni
1.0
14.002 0.000 0.000
0.000 12.833 0.000
0.000 0.000 7.385
Sr Ni
24 4
Direct
0.001 0.250 0.238 Sr
0.005 0.087 0.750 Sr
0.005 0.413 0.750 Sr
0.245 0.088 0.081 Sr
0.245 0.412 0.081 Sr
0.248 0.250 0.595 Sr
0.252 0.750 0.095 Sr
0.255 0.588 0.581 Sr
0.255 0.912 0.581 Sr
0.495 0.587 0.250 Sr
0.495 0.913 0.250 Sr
0.499 0.750 0.738 Sr
0.501 0.250 0.262 Sr
0.505 0.087 0.750 Sr
0.505 0.413 0.750 Sr
0.745 0.088 0.419 Sr
0.745 0.412 0.419 Sr
0.748 0.250 0.905 Sr
0.752 0.750 0.405 Sr
0.755 0.588 0.919 Sr
0.755 0.912 0.919 Sr
0.995 0.587 0.250 Sr
0.995 0.913 0.250 Sr
0.999 0.750 0.762 Sr
0.123 0.250 0.916 Ni
0.377 0.750 0.416 Ni
0.623 0.250 0.584 Ni
0.877 0.750 0.084 Ni
```

Entry 3:
For Sr5Ni3, a DFT-relaxed cell (PBE, Alexandria) gives the simulated X-ray diffraction stick pattern in this record (Cu Kα).
Peak positions follow from Bragg's law for the DFT cell and can differ from measured ones.

Top 6 peaks for 10 to 90 degrees two-theta, in order of falling intensity:
| d/Å | I_rel |
| --- | --- |
| 2.766 | 100 |
| 2.693 | 84 |
| 2.569 | 55 |
| 1.830 | 31 |
| 2.913 | 26 |
| 1.455 | 25 |

Structural model:
```
Sr5Ni3
1.0
8.899 0.000 0.000
-4.450 7.707 0.000
0.000 0.000 7.061
Sr Ni
10 6
Direct
0.000 0.261 0.250 Sr
0.000 0.739 0.750 Sr
0.261 0.000 0.250 Sr
0.261 0.261 0.750 Sr
0.333 0.667 0.000 Sr
0.333 0.667 0.500 Sr
0.667 0.333 0.000 Sr
0.667 0.333 0.500 Sr
0.739 0.000 0.750 Sr
0.739 0.739 0.250 Sr
0.000 0.393 0.750 Ni
0.000 0.607 0.250 Ni
0.393 0.000 0.750 Ni
0.393 0.393 0.250 Ni
0.607 0.000 0.250 Ni
0.607 0.607 0.750 Ni
```

Entry 4:
For Sr3Ni2, a DFT-relaxed cell (PBE, Alexandria) gives the simulated X-ray diffraction stick pattern in this record (Cu Kα).
Peak positions follow from Bragg's law for the DFT cell and can differ from measured ones.

Top 6 peaks for 10 to 90 degrees two-theta, in order of falling intensity:
| d/Å | I_rel |
| --- | --- |
| 3.037 | 100 |
| 3.021 | 96 |
| 8.278 | 62 |
| 2.252 | 53 |
| 3.358 | 51 |
| 1.736 | 46 |

Structural model:
```
Sr3Ni2
1.0
4.232 0.000 0.000
0.000 16.557 0.000
0.000 0.000 4.469
Sr Ni
6 4
Direct
0.000 0.000 0.000 Sr
0.000 0.343 0.500 Sr
0.000 0.657 0.500 Sr
0.500 0.157 0.500 Sr
0.500 0.500 0.000 Sr
0.500 0.843 0.500 Sr
0.000 0.219 0.000 Ni
0.000 0.781 0.000 Ni
0.500 0.281 0.000 Ni
0.500 0.719 0.000 Ni
```

Entry 5:
For Sr4Ni, a DFT-relaxed cell (PBE, Alexandria) gives the simulated X-ray diffraction stick pattern in this record (Cu Kα).
Peak positions follow from Bragg's law for the DFT cell and can differ from measured ones.

Top 6 peaks for 10 to 90 degrees two-theta, in order of falling intensity:
| d/Å | I_rel |
| --- | --- |
| 3.260 | 100 |
| 3.280 | 53 |
| 2.540 | 33 |
| 2.137 | 29 |
| 3.508 | 26 |
| 1.974 | 24 |

Structural model:
```
Sr4Ni
1.0
4.240 -7.421 0.000
4.240 7.421 0.000
0.000 0.000 7.017
Sr Ni
8 2
Direct
0.164 0.836 0.771 Sr
0.172 0.328 0.750 Sr
0.328 0.172 0.250 Sr
0.336 0.664 0.271 Sr
0.664 0.336 0.729 Sr
0.672 0.828 0.750 Sr
0.828 0.672 0.250 Sr
0.836 0.164 0.229 Sr
0.000 0.000 0.000 Ni
0.500 0.500 0.500 Ni
```

Entry 6:
For SrThNi4, a DFT-relaxed cell (PBE, Alexandria) gives the simulated X-ray diffraction stick pattern in this record (Cu Kα).
Peak positions follow from Bragg's law for the DFT cell and can differ from measured ones.

Top 6 peaks for 10 to 90 degrees two-theta, in order of falling intensity:
| d/Å | I_rel |
| --- | --- |
| 2.219 | 100 |
| 2.602 | 58 |
| 1.417 | 31 |
| 4.250 | 23 |
| 1.502 | 22 |
| 1.301 | 21 |

Structural model:
```
SrThNi4
1.0
0.000 3.680 3.680
3.680 0.000 3.680
3.680 3.680 0.000
Sr Th Ni
1 1 4
Direct
0.000 0.000 0.000 Sr
0.750 0.750 0.750 Th
0.376 0.376 0.376 Ni
0.376 0.376 0.873 Ni
0.376 0.873 0.376 Ni
0.873 0.376 0.376 Ni
```